Structure and theoretical X-ray powder pattern of KAgTe2PtSe (a DFT-relaxed cell (PBE, OQMD); Cu Kα X-rays).
Intensities are scaled so that the largest is 100.

The 12 most intense peaks (2θ from 10° to 90°), in order of rising 2θ:
d = 7.442 Å, 2θ = 11.89°, I = 100
d = 5.503 Å, 2θ = 16.11°, I = 20
d = 3.159 Å, 2θ = 28.25°, I = 31
d = 3.036 Å, 2θ = 29.42°, I = 26
d = 2.752 Å, 2θ = 32.54°, I = 41
d = 2.740 Å, 2θ = 32.69°, I = 48
d = 2.408 Å, 2θ = 37.34°, I = 22
d = 2.206 Å, 2θ = 40.91°, I = 30
d = 2.075 Å, 2θ = 43.62°, I = 18
d = 2.048 Å, 2θ = 44.22°, I = 18
d = 1.812 Å, 2θ = 50.35°, I = 17
d = 1.643 Å, 2θ = 55.97°, I = 17

Atomic structure:
Cell lengths 7.719, 7.719, 11.006 Å; angles 90.00, 90.00, 149.23 degrees
Fractional coordinates of all 12 atoms:
K: 0.249 0.751 0.750
K: 0.751 0.249 0.250
Ag: 0.057 0.943 0.250
Ag: 0.943 0.057 0.750
Te: 0.119 0.881 0.016
Te: 0.119 0.881 0.484
Te: 0.881 0.119 0.516
Te: 0.881 0.119 0.984
Pt: 0.500 0.500 0.000
Pt: 0.500 0.500 0.500
Se: 0.444 0.556 0.250
Se: 0.556 0.444 0.750